No. 1
Diffraction record for MgMn6O5F7. The PXRD pattern is theoretical, not measured: it uses a cell relaxed with PBE+U and Cu Ka.

Main lines, in order of falling intensity (2θ from 10° to 90°):
2theta, d_spacing, I (rel.)
24.62, 3.616, 100
33.52, 2.673, 15
50.38, 1.811, 14
50.60, 1.804, 14
33.32, 2.689, 13
34.76, 2.581, 12
49.43, 1.844, 11
34.17, 2.624, 11

Structural model:
```
MgMn6O5F7
1.0
5.9887 0.0000 0.0000
1.7596 5.8876 0.0000
2.6671 2.3185 6.8740
Mg Mn O F
1 6 5 7
direct
0.0000 0.0000 0.0000 Mg
0.0262 0.4872 0.0111 Mn
0.3440 0.7844 0.6715 Mn
0.3699 0.7557 0.1796 Mn
0.6305 0.1308 0.7717 Mn
0.7050 0.1213 0.3365 Mn
0.9972 0.5319 0.5260 Mn
0.1037 0.5965 0.7298 O
0.2464 0.7064 0.9591 O
0.5870 0.9710 0.6113 O
0.7957 0.2916 0.0618 O
0.9765 0.8592 0.2963 O
0.0143 0.1359 0.7125 F
0.2956 0.1347 0.9824 F
0.4088 0.4033 0.3656 F
0.4121 0.8870 0.3826 F
0.6334 0.4886 0.6522 F
0.7297 0.8380 0.0178 F
0.9531 0.3862 0.3008 F
```

=====

No. 2
Diffraction record for MgMn8O8F8. The PXRD pattern is theoretical, not measured: it uses a cell relaxed with PBE+U and Cu Ka.

Main lines, in order of falling intensity (2θ from 10° to 90°):
2theta, d_spacing, I (rel.)
26.06, 3.419, 100
25.84, 3.448, 95
34.27, 2.617, 59
33.96, 2.640, 35
50.73, 1.800, 34
33.91, 2.644, 33
53.62, 1.709, 24
38.88, 2.316, 23

Structural model:
```
MgMn8O8F8
1.0
4.7791 0.0000 0.0000
-0.0421 4.9366 0.0000
-0.0364 -0.0190 12.5089
Mg Mn O F
1 8 8 8
direct
0.0000 0.0000 0.0000 Mg
0.0385 0.5193 0.9999 Mn
0.4438 0.0621 0.6229 Mn
0.5000 0.9946 0.3807 Mn
0.5150 0.9562 0.1359 Mn
0.5183 0.9671 0.8631 Mn
0.9267 0.4964 0.2567 Mn
0.9452 0.4996 0.7443 Mn
0.9985 0.5610 0.5019 Mn
0.1508 0.3478 0.6247 O
0.2963 0.8497 0.5047 O
0.3533 0.8030 0.9964 O
0.6410 0.2164 0.7499 O
0.6594 0.1668 0.2527 O
0.7971 0.7172 0.3851 O
0.8363 0.7260 0.8765 O
0.8453 0.7391 0.1149 O
0.1694 0.2383 0.8838 F
0.1760 0.2381 0.1145 F
0.1914 0.2921 0.3764 F
0.2656 0.7843 0.7463 F
0.2992 0.7448 0.2527 F
0.6872 0.2372 0.9980 F
0.6908 0.2595 0.5030 F
0.7562 0.7602 0.6289 F
```

=====

No. 3
Diffraction record for MgMn6O10F2. The PXRD pattern is theoretical, not measured: it uses a cell relaxed with PBE+U and Cu Ka.

Main lines, in order of falling intensity (2θ from 10° to 90°):
2theta, d_spacing, I (rel.)
26.44, 3.371, 100
35.91, 2.501, 55
53.72, 1.706, 53
25.57, 3.483, 51
30.66, 2.916, 48
34.98, 2.565, 30
58.27, 1.583, 25
49.28, 1.849, 21

Structural model:
```
MgMn6O10F2
1.0
5.0906 0.0000 0.0000
0.0000 2.9706 0.0000
-0.4611 0.0000 13.9046
Mg Mn O F
1 6 10 2
direct
0.0000 0.0000 0.0000 Mg
0.2982 0.0000 0.3319 Mn
0.4377 0.0000 0.6526 Mn
0.5092 0.0000 0.9477 Mn
0.7933 0.5000 0.1876 Mn
0.8212 0.5000 0.4784 Mn
0.9812 0.5000 0.8030 Mn
0.1451 0.5000 0.4019 O
0.1749 0.0000 0.8691 O
0.2485 0.5000 0.7085 O
0.4615 0.5000 0.2654 O
0.5625 0.5000 0.5761 O
0.6501 0.0000 0.4147 O
0.7149 0.0000 0.0952 O
0.7762 0.0000 0.7534 O
0.7799 0.5000 0.9254 O
0.9957 0.0000 0.2414 O
0.0057 0.0000 0.5492 F
0.2418 0.5000 0.0376 F
```

=====

No. 4
Diffraction record for MgMn8O8F8. The PXRD pattern is theoretical, not measured: it uses a cell relaxed with PBE+U and Cu Ka.

Main lines, in order of falling intensity (2θ from 10° to 90°):
2theta, d_spacing, I (rel.)
26.06, 3.420, 100
25.79, 3.455, 100
33.43, 2.680, 40
34.34, 2.611, 34
51.02, 1.790, 33
33.97, 2.639, 31
59.04, 1.565, 28
34.54, 2.597, 26

Structural model:
```
MgMn8O8F8
1.0
4.7766 0.0000 0.0000
-0.0479 4.9529 0.0000
-0.2196 -0.3605 12.5167
Mg Mn O F
1 8 8 8
direct
0.0000 0.0000 0.0000 Mg
0.0330 0.4888 0.5031 Mn
0.1148 0.4934 0.0047 Mn
0.4916 0.9881 0.8652 Mn
0.5317 0.0509 0.3817 Mn
0.5397 0.0527 0.6238 Mn
0.5432 0.0597 0.1381 Mn
0.9567 0.5360 0.2557 Mn
0.9793 0.5565 0.7494 Mn
0.1664 0.7454 0.8782 O
0.3521 0.2204 0.5046 O
0.3708 0.1760 0.9968 O
0.6762 0.8300 0.7453 O
0.6876 0.8674 0.2557 O
0.8333 0.3350 0.6322 O
0.8430 0.3234 0.3853 O
0.8763 0.2778 0.1131 O
0.1911 0.7862 0.1248 F
0.2167 0.7365 0.6188 F
0.2214 0.7546 0.3805 F
0.3052 0.2693 0.7564 F
0.3446 0.2995 0.2524 F
0.6968 0.7479 0.0014 F
0.7360 0.8069 0.5036 F
0.8392 0.2415 0.8843 F
```

=====

No. 5
Diffraction record for MgMn6O10F2. The PXRD pattern is theoretical, not measured: it uses a cell relaxed with PBE+U and Cu Ka.

Main lines, in order of falling intensity (2θ from 10° to 90°):
2theta, d_spacing, I (rel.)
23.39, 3.803, 100
27.89, 3.199, 76
35.88, 2.503, 24
35.64, 2.519, 23
36.00, 2.495, 22
35.26, 2.545, 20
49.67, 1.836, 19
57.63, 1.599, 19

Structural model:
```
MgMn6O10F2
1.0
5.7175 0.0000 0.0000
-2.3133 5.4254 0.0000
-1.0826 -2.8942 6.9294
Mg Mn O F
1 6 10 2
direct
0.0000 0.0000 0.0000 Mg
0.0019 0.0400 0.5179 Mn
0.3558 0.5282 0.3521 Mn
0.3664 0.9432 0.7859 Mn
0.6403 0.0725 0.2091 Mn
0.6700 0.4865 0.6565 Mn
0.9920 0.4991 0.9794 Mn
0.0330 0.1810 0.3052 O
0.2816 0.8557 0.0132 O
0.3769 0.1581 0.6316 O
0.4314 0.6432 0.6196 O
0.5854 0.3722 0.3808 O
0.6320 0.8522 0.3610 O
0.7279 0.1512 0.9769 O
0.7463 0.6222 0.9334 O
0.9213 0.3527 0.7116 O
0.9815 0.8480 0.6987 O
0.0872 0.6514 0.2704 F
0.2619 0.3689 0.0490 F
```

=====

No. 6
Diffraction record for MgMn2O2F2. The PXRD pattern is theoretical, not measured: it uses a cell relaxed with PBE+U and Cu Ka.

Main lines, in order of falling intensity (2θ from 10° to 90°):
2theta, d_spacing, I (rel.)
38.53, 2.337, 100
13.15, 6.730, 50
60.66, 1.527, 44
25.75, 3.459, 42
44.95, 2.016, 33
38.01, 2.367, 23
30.57, 2.924, 21
34.72, 2.584, 20

Structural model:
```
MgMn2O2F2
1.0
3.2467 0.0000 0.0000
0.0000 4.0330 0.0000
0.0000 0.0000 6.7303
Mg Mn O F
1 2 2 2
direct
0.0000 0.0000 0.0000 Mg
0.0000 0.0000 0.5281 Mn
0.5000 0.5000 0.2664 Mn
0.0000 0.5000 0.4712 O
0.5000 0.0000 0.1977 O
0.0000 0.5000 0.9969 F
0.5000 0.0000 0.7746 F
```

=====

No. 7
Diffraction record for MgMn12O14F10. The PXRD pattern is theoretical, not measured: it uses a cell relaxed with PBE+U and Cu Ka.

Main lines, in order of falling intensity (2θ from 10° to 90°):
2theta, d_spacing, I (rel.)
24.64, 3.614, 100
30.34, 2.946, 89
24.28, 3.666, 82
31.60, 2.831, 70
32.03, 2.794, 66
31.10, 2.876, 57
52.90, 1.731, 54
53.80, 1.704, 42

Structural model:
```
MgMn12O14F10
1.0
4.8310 0.0000 0.0000
-0.0525 5.5886 0.0000
-0.7228 -2.3288 16.0992
Mg Mn O F
1 12 14 10
direct
0.0000 0.0000 0.0000 Mg
0.0012 0.0243 0.5183 Mn
0.0263 0.1684 0.8205 Mn
0.0379 0.7920 0.6654 Mn
0.4464 0.4113 0.1820 Mn
0.4691 0.6791 0.8207 Mn
0.4794 0.2712 0.6596 Mn
0.4859 0.5460 0.5056 Mn
0.4883 0.1597 0.3471 Mn
0.4939 0.3087 0.9628 Mn
0.9405 0.5563 0.0760 Mn
0.9602 0.9314 0.2080 Mn
0.9784 0.6593 0.3596 Mn
0.1188 0.8548 0.0995 O
0.2302 0.8036 0.5683 O
0.2395 0.3439 0.0507 O
0.2592 0.0408 0.7299 O
0.2671 0.5572 0.7088 O
0.2723 0.1531 0.2415 O
0.2811 0.2834 0.5566 O
0.2839 0.4123 0.8750 O
0.2878 0.4558 0.4002 O
0.6873 0.6852 0.1533 O
0.7744 0.9186 0.3102 O
0.7809 0.7435 0.4609 O
0.8035 0.1666 0.9122 O
0.8035 0.0385 0.6163 O
0.2011 0.6544 0.2562 F
0.2330 0.9621 0.4188 F
0.2830 0.9355 0.9138 F
0.7241 0.3593 0.7623 F
0.7308 0.2309 0.0709 F
0.7423 0.3880 0.2811 F
0.7451 0.5507 0.6104 F
0.7476 0.2350 0.4564 F
0.7547 0.6817 0.9676 F
0.8200 0.8443 0.7718 F
```

=====

No. 8
Diffraction record for MgMn6O10F2. The PXRD pattern is theoretical, not measured: it uses a cell relaxed with PBE+U and Cu Ka.

Main lines, in order of falling intensity (2θ from 10° to 90°):
2theta, d_spacing, I (rel.)
23.61, 3.768, 100
27.59, 3.233, 65
48.30, 1.884, 31
35.60, 2.522, 23
34.93, 2.569, 23
35.28, 2.544, 19
35.71, 2.515, 18
49.28, 1.849, 18

Structural model:
```
MgMn6O10F2
1.0
5.0900 0.0000 0.0000
0.6639 5.5597 0.0000
0.8961 1.0756 7.6329
Mg Mn O F
1 6 10 2
direct
0.0000 0.0000 0.0000 Mg
0.0000 0.0000 0.5000 Mn
0.0102 0.3728 0.1787 Mn
0.4816 0.8187 0.1663 Mn
0.5000 0.5000 0.5000 Mn
0.5184 0.1813 0.8337 Mn
0.9898 0.6272 0.8213 Mn
0.1493 0.3001 0.3883 O
0.1547 0.6434 0.0581 O
0.3073 0.1359 0.0652 O
0.3171 0.4718 0.7352 O
0.3214 0.8079 0.4022 O
0.6786 0.1921 0.5978 O
0.6829 0.5282 0.2648 O
0.6927 0.8641 0.9348 O
0.8453 0.3566 0.9419 O
0.8507 0.6999 0.6117 O
0.1634 0.9518 0.7590 F
0.8366 0.0482 0.2410 F
```

=====

No. 9
Diffraction record for MgMn6O10F2. The PXRD pattern is theoretical, not measured: it uses a cell relaxed with PBE+U and Cu Ka.

Main lines, in order of falling intensity (2θ from 10° to 90°):
2theta, d_spacing, I (rel.)
23.43, 3.798, 100
28.04, 3.182, 77
35.96, 2.497, 52
55.27, 1.662, 32
63.61, 1.463, 23
36.08, 2.489, 22
50.45, 1.809, 21
35.44, 2.533, 21

Structural model:
```
MgMn6O10F2
1.0
5.6765 0.0000 0.0000
0.7409 5.7835 0.0000
1.8493 1.9971 6.4684
Mg Mn O F
1 6 10 2
direct
0.0000 0.0000 0.0000 Mg
0.3321 0.8115 0.6721 Mn
0.4007 0.7667 0.1759 Mn
0.5950 0.2189 0.8427 Mn
0.6486 0.1702 0.3529 Mn
0.9531 0.5417 0.5124 Mn
0.9953 0.5068 0.0032 Mn
0.0727 0.6521 0.2000 O
0.2554 0.6921 0.4724 O
0.3376 0.5012 0.8613 O
0.3759 0.9603 0.8883 O
0.6219 0.0280 0.1261 O
0.6624 0.8382 0.5281 O
0.6629 0.4903 0.1558 O
0.7150 0.3137 0.5493 O
0.9131 0.3539 0.8167 O
0.9852 0.8082 0.8163 O
0.0461 0.1732 0.1843 F
0.2757 0.1465 0.5088 F
```

=====

No. 10
Diffraction record for MgMn8O8F8. The PXRD pattern is theoretical, not measured: it uses a cell relaxed with PBE+U and Cu Ka.

Main lines, in order of falling intensity (2θ from 10° to 90°):
2theta, d_spacing, I (rel.)
25.40, 3.507, 100
26.14, 3.409, 91
34.25, 2.618, 54
52.20, 1.752, 47
33.16, 2.702, 34
34.75, 2.582, 27
51.50, 1.774, 26
59.28, 1.559, 23

Structural model:
```
MgMn8O8F8
1.0
4.8246 0.0000 0.0000
0.1408 4.9646 0.0000
0.0541 0.6289 12.4724
Mg Mn O F
1 8 8 8
direct
0.0000 0.0000 0.0000 Mg
0.0412 0.4542 0.2569 Mn
0.4724 0.9131 0.6196 Mn
0.4770 0.9326 0.1377 Mn
0.5384 0.9940 0.8597 Mn
0.5411 0.0088 0.3772 Mn
0.9518 0.5073 0.0035 Mn
0.9637 0.4820 0.7458 Mn
0.9724 0.4900 0.5011 Mn
0.1401 0.6920 0.1159 O
0.1454 0.6511 0.6231 O
0.3408 0.1758 0.2529 O
0.6552 0.7492 0.7428 O
0.6617 0.7900 0.9998 O
0.6841 0.7786 0.4956 O
0.8362 0.2914 0.8866 O
0.8397 0.2871 0.3790 O
0.1523 0.7689 0.8850 F
0.2268 0.6997 0.3744 F
0.2811 0.1968 0.7472 F
0.2912 0.1733 0.5081 F
0.3081 0.2318 0.0043 F
0.7191 0.7394 0.2564 F
0.7702 0.2471 0.6270 F
0.8316 0.2133 0.1197 F
```